This entry pairs a crystal structure of KGa9Pd3 with its computed powder diffraction line list. Radiation: copper Kα. Structure: DFT lattice parameters and positions (GGA-PBE).

```
13
Lattice="2.740 -6.522 0.000 2.740 6.522 0.000 -2.467 0.000 6.513" Properties=species:S:1:pos:R:3 pbc="T T T"
K 0.000 0.000 0.000
Ga -1.234 0.000 3.257
Ga 0.196 4.174 4.262
Ga 0.271 1.442 5.117
Ga 2.817 4.174 2.251
Ga 2.743 1.442 1.396
Ga 0.271 -1.442 5.117
Ga 0.196 -4.174 4.262
Ga 2.743 -1.442 1.396
Ga 2.817 -4.174 2.251
Pd 1.370 3.261 0.000
Pd 1.370 -3.261 0.000
Pd 1.507 0.000 3.257
```

Top 12 peaks for 5° ≤ 2θ ≤ 70°, sorted by position:
19.3 deg, d = 4.609 Å, I = 72; 33.0 deg, d = 2.714 Å, I = 30; 37.7 deg, d = 2.385 Å, I = 69; 38.7 deg, d = 2.324 Å, I = 89; 39.0 deg, d = 2.310 Å, I = 30; 39.1 deg, d = 2.304 Å, I = 100; 39.5 deg, d = 2.280 Å, I = 27; 42.2 deg, d = 2.140 Å, I = 42; 43.1 deg, d = 2.097 Å, I = 87; 43.9 deg, d = 2.061 Å, I = 89; 44.1 deg, d = 2.054 Å, I = 57; 69.2 deg, d = 1.357 Å, I = 23

This entry pairs a crystal structure of KRbGa2Pd with its computed powder diffraction line list. Radiation: copper Kα. Structure: DFT lattice parameters and positions (GGA-PBE).

```
5
Lattice="4.993 0.000 0.000 0.000 4.993 0.000 0.000 0.000 6.078" Properties=species:S:1:pos:R:3 pbc="T T T"
K 0.000 0.000 0.000
Rb 2.496 2.496 0.000
Ga 0.000 2.496 3.039
Ga 2.496 0.000 3.039
Pd 0.000 0.000 3.039
```

Top 12 peaks for 5° ≤ 2θ ≤ 70°, sorted by position:
14.6 deg, d = 6.078 Å, I = 49; 17.8 deg, d = 4.993 Å, I = 17; 23.1 deg, d = 3.858 Å, I = 100; 25.2 deg, d = 3.530 Å, I = 14; 29.3 deg, d = 3.053 Å, I = 65; 29.4 deg, d = 3.039 Å, I = 85; 36.0 deg, d = 2.496 Å, I = 98; 39.0 deg, d = 2.309 Å, I = 18; 43.2 deg, d = 2.096 Å, I = 38; 47.1 deg, d = 1.929 Å, I = 89; 51.8 deg, d = 1.765 Å, I = 33; 60.7 deg, d = 1.527 Å, I = 55